No. 1
For Li3Mn4O8, the GGA+U geometry in the Materials Project gives the theoretical X-ray powder pattern in this record (Cu Kα).
No peak broadening, texture or thermal motion is included.

Principal peaks in the range 2θ = 10–90°, in order of rising 2θ:
- 17.1 deg, d 5.177, I 70
- 18.3 deg, d 4.837, I 98
- 33.8 deg, d 2.652, I 19
- 35.1 deg, d 2.556, I 41
- 35.8 deg, d 2.511, I 18
- 42.5 deg, d 2.128, I 100
- 54.9 deg, d 1.672, I 15
- 59.9 deg, d 1.544, I 30
- 63.3 deg, d 1.469, I 29
- 79.2 deg, d 1.209, I 14

Structural model:
abc: 6.190 6.190 6.190
angles: 56.68 56.68 56.68
Element x y z (fractional)
Li  0.000  0.000  0.000
Li  0.142  0.142  0.142
Li  0.858  0.858  0.858
Mn  0.000  0.500  0.500
Mn  0.500  0.000  0.500
Mn  0.500  0.500  0.000
Mn  0.500  0.500  0.500
O  0.245  0.245  0.719
O  0.245  0.719  0.245
O  0.265  0.265  0.265
O  0.281  0.755  0.755
O  0.719  0.245  0.245
O  0.735  0.735  0.735
O  0.755  0.281  0.755
O  0.755  0.755  0.281

No. 2
For Bi17W3O34, the GGA+U geometry in the Materials Project gives the theoretical X-ray powder pattern in this record (Cu Kα).
No peak broadening, texture or thermal motion is included.

Principal peaks in the range 2θ = 10–90°, in order of rising 2θ:
- 26.9 deg, d 3.309, I 52
- 27.6 deg, d 3.234, I 100
- 27.7 deg, d 3.222, I 51
- 31.7 deg, d 2.824, I 52
- 32.0 deg, d 2.793, I 27
- 45.1 deg, d 2.012, I 14
- 45.2 deg, d 2.006, I 26
- 45.8 deg, d 1.983, I 12
- 46.1 deg, d 1.970, I 13
- 46.2 deg, d 1.963, I 14

Structural model:
abc: 10.392 10.507 10.512
angles: 106.13 106.68 114.44
Element x y z (fractional)
Bi  0.000  0.000  0.000
Bi  0.016  0.108  0.684
Bi  0.091  0.298  0.453
Bi  0.133  0.429  0.099
Bi  0.165  0.591  0.791
Bi  0.251  0.864  0.163
Bi  0.336  0.038  0.916
Bi  0.395  0.227  0.625
Bi  0.432  0.339  0.318
Bi  0.504  0.643  0.697
Bi  0.582  0.784  0.431
Bi  0.636  0.905  0.088
Bi  0.711  0.099  0.833
Bi  0.779  0.374  0.201
Bi  0.836  0.528  0.896
Bi  0.870  0.676  0.575
Bi  0.938  0.862  0.304
W  0.249  0.753  0.505
W  0.502  0.498  0.986
W  0.656  0.156  0.491
O  0.030  0.652  0.420
O  0.043  0.925  0.803
O  0.079  0.333  0.665
O  0.128  0.109  0.504
O  0.142  0.595  0.004
O  0.241  0.578  0.576
O  0.253  0.634  0.328
O  0.288  0.095  0.130
O  0.291  0.861  0.704
O  0.291  0.923  0.468
O  0.315  0.856  0.981
O  0.343  0.292  0.829
O  0.349  0.370  0.520
O  0.416  0.476  0.111
O  0.417  0.608  0.905
O  0.496  0.203  0.433
O  0.498  0.830  0.601
O  0.529  0.958  0.325
O  0.592  0.500  0.813
O  0.607  0.127  0.030
O  0.644  0.656  0.561
O  0.660  0.451  0.058
O  0.668  0.443  0.341
O  0.681  0.722  0.122
O  0.684  0.246  0.690
O  0.715  0.908  0.915
O  0.751  0.046  0.578
O  0.799  0.269  0.446
O  0.844  0.850  0.467
O  0.887  0.364  0.036
O  0.891  0.030  0.248
O  0.911  0.568  0.729
O  0.960  0.163  0.886
O  0.992  0.797  0.055

No. 3
For MnO2, the GGA+U geometry in the Materials Project gives the theoretical X-ray powder pattern in this record (Cu Kα).
No peak broadening, texture or thermal motion is included.

Principal peaks in the range 2θ = 10–90°, in order of rising 2θ:
- 18.0 deg, d 4.935, I 100
- 18.5 deg, d 4.786, I 17
- 21.3 deg, d 4.176, I 47
- 29.9 deg, d 2.987, I 36
- 35.7 deg, d 2.513, I 34
- 36.0 deg, d 2.493, I 64
- 43.3 deg, d 2.088, I 47
- 56.7 deg, d 1.622, I 28
- 62.2 deg, d 1.494, I 26
- 63.7 deg, d 1.460, I 28

Structural model:
abc: 5.977 5.977 5.977
angles: 58.49 58.49 58.49
Element x y z (fractional)
Mn  0.000  0.000  0.000
Mn  0.382  0.382  0.871
Mn  0.382  0.871  0.382
Mn  0.871  0.382  0.382
O  0.127  0.127  0.593
O  0.127  0.593  0.127
O  0.140  0.140  0.140
O  0.176  0.631  0.631
O  0.593  0.127  0.127
O  0.615  0.615  0.615
O  0.631  0.176  0.631
O  0.631  0.631  0.176

No. 4
For KVO3, the GGA+U geometry in the Materials Project gives the theoretical X-ray powder pattern in this record (Cu Kα).
No peak broadening, texture or thermal motion is included.

Principal peaks in the range 2θ = 10–90°, in order of rising 2θ:
- 23.1 deg, d 3.853, I 17
- 32.9 deg, d 2.725, I 100
- 40.6 deg, d 2.225, I 10
- 47.2 deg, d 1.927, I 57
- 53.2 deg, d 1.723, I 5
- 58.7 deg, d 1.573, I 34
- 68.9 deg, d 1.362, I 29
- 73.8 deg, d 1.284, I 2
- 78.5 deg, d 1.218, I 14
- 87.8 deg, d 1.112, I 9

Structural model:
abc: 3.853 3.853 3.853
angles: 90.00 90.00 90.00
Element x y z (fractional)
K  0.000  0.000  0.000
V  0.500  0.500  0.500
O  0.000  0.500  0.500
O  0.500  0.000  0.500
O  0.500  0.500  0.000

No. 5
For Na2V2O5, the GGA+U geometry in the Materials Project gives the theoretical X-ray powder pattern in this record (Cu Kα).
No peak broadening, texture or thermal motion is included.

Principal peaks in the range 2θ = 10–90°, in order of rising 2θ:
- 17.0 deg, d 5.219, I 55
- 20.9 deg, d 4.252, I 50
- 22.0 deg, d 4.039, I 100
- 24.9 deg, d 3.576, I 47
- 27.0 deg, d 3.305, I 21
- 32.3 deg, d 2.774, I 25
- 33.5 deg, d 2.673, I 69
- 34.1 deg, d 2.633, I 25
- 34.4 deg, d 2.605, I 21
- 46.4 deg, d 1.956, I 21

Structural model:
abc: 6.610 5.348 17.007
angles: 90.00 90.00 90.00
Element x y z (fractional)
Na  0.095  0.224  0.057
Na  0.095  0.776  0.557
Na  0.405  0.276  0.557
Na  0.405  0.724  0.057
Na  0.595  0.276  0.943
Na  0.595  0.724  0.443
Na  0.905  0.224  0.443
Na  0.905  0.776  0.943
V  0.094  0.292  0.849
V  0.094  0.708  0.349
V  0.406  0.208  0.349
V  0.406  0.792  0.849
V  0.594  0.208  0.151
V  0.594  0.792  0.651
V  0.906  0.292  0.651
V  0.906  0.708  0.151
O  0.000  0.241  0.750
O  0.000  0.759  0.250
O  0.057  0.219  0.570
O  0.057  0.781  0.070
O  0.157  0.370  0.362
O  0.157  0.630  0.862
O  0.343  0.130  0.862
O  0.343  0.870  0.362
O  0.443  0.281  0.070
O  0.443  0.719  0.570
O  0.500  0.259  0.250
O  0.500  0.741  0.750
O  0.557  0.281  0.430
O  0.557  0.719  0.930
O  0.657  0.130  0.638
O  0.657  0.870  0.138
O  0.843  0.370  0.138
O  0.843  0.630  0.638
O  0.943  0.219  0.930
O  0.943  0.781  0.430

No. 6
For Li2Ti3CoO8, the GGA+U geometry in the Materials Project gives the theoretical X-ray powder pattern in this record (Cu Kα).
No peak broadening, texture or thermal motion is included.

Principal peaks in the range 2θ = 10–90°, in order of rising 2θ:
- 18.3 deg, d 4.858, I 100
- 18.6 deg, d 4.773, I 23
- 35.3 deg, d 2.541, I 9
- 35.5 deg, d 2.529, I 35
- 35.9 deg, d 2.504, I 15
- 43.2 deg, d 2.094, I 73
- 56.9 deg, d 1.619, I 9
- 57.1 deg, d 1.613, I 12
- 62.3 deg, d 1.491, I 22
- 63.2 deg, d 1.471, I 21

Structural model:
abc: 5.885 5.885 5.885
angles: 60.88 60.88 60.88
Element x y z (fractional)
Li  0.122  0.122  0.122
Li  0.878  0.878  0.878
Ti  0.000  0.500  0.500
Ti  0.500  0.000  0.500
Ti  0.500  0.500  0.000
Co  0.500  0.500  0.500
O  0.257  0.257  0.712
O  0.257  0.712  0.257
O  0.260  0.260  0.260
O  0.288  0.743  0.743
O  0.712  0.257  0.257
O  0.740  0.740  0.740
O  0.743  0.288  0.743
O  0.743  0.743  0.288

No. 7
For CaFeBiO5, the GGA+U geometry in the Materials Project gives the theoretical X-ray powder pattern in this record (Cu Kα).
No peak broadening, texture or thermal motion is included.

Principal peaks in the range 2θ = 10–90°, in order of rising 2θ:
- 13.7 deg, d 6.471, I 25
- 15.7 deg, d 5.641, I 100
- 23.3 deg, d 3.818, I 29
- 23.4 deg, d 3.799, I 25
- 24.2 deg, d 3.672, I 58
- 27.5 deg, d 3.241, I 63
- 33.9 deg, d 2.645, I 26
- 34.3 deg, d 2.618, I 29
- 40.6 deg, d 2.222, I 31
- 53.9 deg, d 1.700, I 27

Structural model:
abc: 5.911 10.558 8.582
angles: 90.00 107.39 90.00
Element x y z (fractional)
Ca  0.032  0.097  0.179
Ca  0.032  0.403  0.679
Ca  0.968  0.597  0.321
Ca  0.968  0.903  0.821
Fe  0.386  0.618  0.060
Fe  0.386  0.882  0.560
Fe  0.614  0.118  0.440
Fe  0.614  0.382  0.940
Bi  0.485  0.099  0.843
Bi  0.485  0.401  0.343
Bi  0.515  0.599  0.657
Bi  0.515  0.901  0.157
O  0.224  0.521  0.185
O  0.224  0.720  0.523
O  0.224  0.780  0.023
O  0.224  0.979  0.685
O  0.283  0.045  0.012
O  0.283  0.455  0.512
O  0.334  0.220  0.316
O  0.334  0.280  0.816
O  0.352  0.546  0.846
O  0.352  0.954  0.346
O  0.648  0.046  0.654
O  0.648  0.454  0.154
O  0.666  0.720  0.184
O  0.666  0.780  0.684
O  0.717  0.545  0.488
O  0.717  0.955  0.988
O  0.776  0.021  0.315
O  0.776  0.220  0.977
O  0.776  0.280  0.477
O  0.776  0.479  0.815

No. 8
For ErMn4Cu3O12, the GGA+U geometry in the Materials Project gives the theoretical X-ray powder pattern in this record (Cu Kα).
No peak broadening, texture or thermal motion is included.

Principal peaks in the range 2θ = 10–90°, in order of rising 2θ:
- 17.0 deg, d 5.230, I 18
- 24.1 deg, d 3.698, I 6
- 34.3 deg, d 2.615, I 100
- 38.5 deg, d 2.339, I 11
- 42.3 deg, d 2.135, I 7
- 45.9 deg, d 1.977, I 11
- 49.3 deg, d 1.849, I 25
- 61.4 deg, d 1.510, I 47
- 72.3 deg, d 1.308, I 12
- 82.5 deg, d 1.169, I 16

Structural model:
abc: 6.406 6.406 6.406
angles: 109.47 109.47 109.47
Element x y z (fractional)
Er  0.000  0.000  0.000
Mn  0.000  0.000  0.500
Mn  0.000  0.500  0.000
Mn  0.500  0.000  0.000
Mn  0.500  0.500  0.500
Cu  0.000  0.500  0.500
Cu  0.500  0.000  0.500
Cu  0.500  0.500  0.000
O  0.133  0.831  0.302
O  0.169  0.302  0.471
O  0.169  0.698  0.867
O  0.302  0.133  0.831
O  0.302  0.471  0.169
O  0.471  0.169  0.302
O  0.529  0.831  0.698
O  0.698  0.529  0.831
O  0.698  0.867  0.169
O  0.831  0.302  0.133
O  0.831  0.698  0.529
O  0.867  0.169  0.698